1.
This entry pairs a crystal structure of La2PrGe4Ir2Pd2 with its theoretical powder diffraction line list. Radiation: Cu Kα (weighted mean of Kα1 and Kα2). Structure: a structure optimized by DFT (PBE).

Top 10 peaks for 10° ≤ 2θ ≤ 90°, by intensity:
2θ (°)  Rel. int.  hkl
32.8  100.0  1 1 4
32.5  33.7  1 0 7
41.7  26.5  0 2 0
42.8  25.8  2 0 0
44.5  22.5  0 1 11
61.3  17.7  2 2 0
38.1  17.1  0 1 9
53.9  16.0  1 2 7
63.4  15.6  2 1 11
70.5  10.8  1 3 4

Structural model:
Lattice parameters (Å, degrees): 4.2287 4.3303 25.3862 90.00 90.00 90.00
Space group Immm (No. 71)
Asymmetric unit:
1 La 0.0000 0.0000 0.1439
2 Pr 0.0000 0.5000 0.0000
3 Ge 0.0000 0.0000 0.3047
4 Ge 0.0000 0.5000 0.4507
5 Ir 0.0000 0.0000 0.4021
6 Pd 0.0000 0.5000 0.2491

2.
This entry pairs a crystal structure of Lu4SbPC2 with its theoretical powder diffraction line list. Radiation: Cu Kα (weighted mean of Kα1 and Kα2). Structure: a structure optimized by DFT (PBE).

Top 10 peaks for 10° ≤ 2θ ≤ 90°, by intensity:
2θ (°)  Rel. int.  hkl
34.8  100.0  1 0 3
28.8  30.5  1 0 0
51.0  28.2  1 1 0
60.8  18.0  1 0 8
63.2  17.7  2 0 3
31.6  16.5  1 0 2
85.5  15.7  2 1 3
29.5  13.0  1 0 1
32.0  13.0  0 0 5
61.5  12.3  1 1 5

Structural model:
Lattice parameters (Å, degrees): 3.5787 3.5787 13.9840 90.00 90.00 120.00
Space group P-6m2 (No. 187)
Asymmetric unit:
1 Lu 0.0000 0.0000 0.1340
2 Lu 0.6667 0.3333 0.3197
3 Sb 0.0000 0.0000 0.5000
4 P 0.6667 0.3333 0.0000
5 C 0.3333 0.6667 0.2342

3.
This entry pairs a crystal structure of Cu2SiPbS4 with its theoretical powder diffraction line list. Radiation: Cu Kα (weighted mean of Kα1 and Kα2). Structure: a structure optimized by DFT (PBE).

Top 10 peaks for 10° ≤ 2θ ≤ 90°, by intensity:
2θ (°)  Rel. int.  hkl
34.1  100.0  2 0 0
29.0  64.3  1 0 4
38.6  61.3  0 2 3
17.9  56.1  1 0 1
29.4  42.8  1 1 0
16.9  34.2  1 0 0
24.4  32.6  1 0 3
31.8  29.5  1 1 2
55.2  28.7  2 1 5
30.0  28.2  1 1 1

Structural model:
Lattice parameters (Å, degrees): 6.0687 6.0687 15.1987 90.00 90.00 120.00
Space group P3_221 (No. 154)
Asymmetric unit:
1 Cu 0.0895 0.6600 0.0899
2 Si 0.0000 0.7212 0.8333
3 Pb 0.0000 0.5303 0.3333
4 S 0.0251 0.5183 0.7218
5 S 0.0973 0.3267 0.1645

4.
This entry pairs a crystal structure of Pr2NpP3 with its theoretical powder diffraction line list. Radiation: Cu Kα (weighted mean of Kα1 and Kα2). Structure: a structure optimized by DFT (PBE).

Top 10 peaks for 10° ≤ 2θ ≤ 90°, by intensity:
2θ (°)  Rel. int.  hkl
30.6  100.0  1 0 2
26.5  69.7  0 1 1
43.8  37.1  0 1 4
44.0  36.3  1 1 0
52.0  34.5  1 1 3
26.3  23.1  0 0 3
54.6  19.6  0 2 2
72.6  16.9  2 1 2
72.3  16.1  1 1 6
51.8  12.8  1 0 5

Structural model:
Lattice parameters (Å, degrees): 4.1174 4.1174 10.1524 90.00 90.00 120.00
Space group P-3m1 (No. 164)
Asymmetric unit:
1 Pr 0.3333 0.6667 0.3310
2 Np 0.0000 0.0000 0.0000
3 P 0.0000 0.0000 0.5000
4 P 0.3333 0.6667 0.8500

5.
This entry pairs a crystal structure of InPd3 with its theoretical powder diffraction line list. Radiation: Cu Kα (weighted mean of Kα1 and Kα2). Structure: a structure optimized by DFT (PBE).

Top 8 peaks for 10° ≤ 2θ ≤ 90°, by intensity:
2θ (°)  Rel. int.  hkl
38.8  100.0  1 1 2
43.5  35.9  2 0 0
76.7  25.9  3 1 2
66.9  19.4  2 0 4
48.1  13.3  0 0 4
63.2  11.5  2 2 0
83.2  10.5  2 2 4
83.4  10.5  1 1 6

Structural model:
Lattice parameters (Å, degrees): 4.1597 4.1597 7.5616 90.00 90.00 90.00
Space group I4/mmm (No. 139)
Asymmetric unit:
1 In 0.0000 0.0000 0.0000
2 Pd 0.0000 0.0000 0.5000
3 Pd 0.0000 0.5000 0.2500

6.
This entry pairs a crystal structure of SmTaN2O with its theoretical powder diffraction line list. Radiation: Cu Kα (weighted mean of Kα1 and Kα2). Structure: a structure optimized by DFT (PBE).

Top 10 peaks for 10° ≤ 2θ ≤ 90°, by intensity:
2θ (°)  Rel. int.  hkl
31.7  100.0  0 2 2
31.8  98.0  2 2 0
31.9  47.3  2 0 2
31.4  46.7  2 0 -2
45.6  42.9  0 4 0
56.7  31.1  2 2 4
45.2  21.9  0 0 4
56.9  19.9  4 2 2
56.4  19.7  2 4 -2
55.9  15.8  -2 2 4

Structural model:
Lattice parameters (Å, degrees): 7.9571 7.9610 8.0319 90.01 91.00 90.10
Space group P-1 (No. 2)
Asymmetric unit:
1 Sm 0.0155 0.2477 0.4694
2 Sm 0.0287 0.2515 0.9859
3 Sm 0.4646 0.7504 0.5141
4 Sm 0.4832 0.7482 0.0233
5 Ta 0.2397 0.0055 0.7443
6 Ta 0.2481 0.0086 0.2411
7 Ta 0.2534 0.4884 0.7462
8 Ta 0.2606 0.4919 0.2568
9 N 0.0002 0.0492 0.2096
10 N 0.1870 0.2516 0.7162
11 N 0.2063 0.5545 0.4976
12 N 0.2196 0.9491 0.5008
13 N 0.2782 0.4599 0.9972
14 N 0.2914 0.2481 0.3011
15 N 0.2969 0.0432 0.9991
16 N 0.4997 0.4506 0.7111
17 O 0.0010 0.5657 0.7855
18 O 0.2121 0.7483 0.1869
19 O 0.3197 0.7544 0.7806
20 O 0.4982 0.9342 0.2858